# 1
Structure and computed PXRD pattern of Na3Li2Ge4 (DFT lattice parameters and positions (GGA-PBE); λ = 1.5418 Å (Cu Kα)).

Structure:
Unit cell a=4.5294 b=5.8704 c=8.5839 alpha=78.48 beta=88.65 gamma=67.39
Space group P-1 (No. 2)
One atom of each set of equivalent atoms:
Na (0.0000, 0.0000, 0.0000) x1
Na (0.3641, 0.2638, 0.5969) x2
Li (0.3688, 0.2912, 0.2140) x2
Ge (0.0680, 0.8472, 0.6436) x2
Ge (0.2445, 0.4792, 0.9032) x2

Peak list (10 most intense, 5 to 70 degrees two-theta, in order of rising 2θ)
- hkl 0 1 1, 17.84°, I = 100.0
- hkl 1 0 0, 21.32°, I = 33.9
- hkl 1 1 1, 22.88°, I = 50.0
- hkl 1 0 -1, 23.23°, I = 36.7
- hkl 1 2 2, 35.45°, I = 47.4
- hkl -1 1 2, 35.86°, I = 45.3
- hkl 0 2 -1, 37.63°, I = 40.3
- hkl 2 1 0, 39.82°, I = 74.9
- hkl 1 1 -3, 40.69°, I = 33.5
- hkl 1 -1 2, 41.38°, I = 20.1

# 2
Structure and computed PXRD pattern of NaLi2GeS4 (DFT lattice parameters and positions (GGA-PBE); λ = 1.5418 Å (Cu Kα)).

Structure:
Unit cell a=6.5444 b=6.5444 c=7.8619 alpha=90.00 beta=90.00 gamma=90.00
Space group I-42m (No. 121)
One atom of each set of equivalent atoms:
Na (0.0000, 0.0000, 0.0000) x2
Li (0.0000, 0.5000, 0.2500) x4
Ge (0.0000, 0.0000, 0.5000) x2
S (0.1996, 0.1996, 0.6587) x8

Peak list (10 most intense, 5 to 70 degrees two-theta, in order of rising 2θ)
- hkl 1 0 1, 17.63°, I = 87.0
- hkl 1 1 0, 19.18°, I = 67.6
- hkl 1 1 2, 29.82°, I = 100.0
- hkl 2 1 1, 32.65°, I = 33.7
- hkl 2 0 2, 35.70°, I = 46.6
- hkl 2 2 0, 38.92°, I = 38.9
- hkl 3 1 2, 49.79°, I = 38.1
- hkl 3 2 1, 51.69°, I = 18.8
- hkl 2 0 4, 54.46°, I = 23.5
- hkl 3 0 3, 54.75°, I = 17.1

# 3
Structure and computed PXRD pattern of LiNb4Ge3 (DFT lattice parameters and positions (GGA-PBE); λ = 1.5418 Å (Cu Kα)).

Structure:
Unit cell a=10.2387 b=10.2387 c=5.0163 alpha=90.00 beta=90.00 gamma=90.00
Space group I4/mcm (No. 140)
One atom of each set of equivalent atoms:
Li (0.0000, 0.5000, 0.2500) x4
Nb (0.0826, 0.2178, 0.0000) x16
Ge (0.0000, 0.0000, 0.2500) x4
Ge (0.1571, 0.3429, 0.5000) x8

Peak list (10 most intense, 5 to 70 degrees two-theta, in order of rising 2θ)
- hkl 1 1 0, 12.23°, I = 38.1
- hkl 0 0 2, 35.80°, I = 34.8
- hkl 3 2 1, 36.35°, I = 72.2
- hkl 4 2 0, 39.36°, I = 39.0
- hkl 2 0 2, 40.03°, I = 23.7
- hkl 4 1 1, 40.54°, I = 100.0
- hkl 2 2 2, 43.92°, I = 21.1
- hkl 5 2 1, 51.40°, I = 16.0
- hkl 3 2 3, 64.69°, I = 12.8
- hkl 4 1 3, 67.54°, I = 21.2

# 4
Structure and computed PXRD pattern of Li4NdGe4 (DFT lattice parameters and positions (GGA-PBE); λ = 1.5418 Å (Cu Kα)).

Structure:
Unit cell a=6.1518 b=6.1518 c=8.7250 alpha=90.00 beta=90.00 gamma=90.00
Space group P4_2/nmc (No. 137, origin choice 2)
One atom of each set of equivalent atoms:
Li (0.0073, 0.2500, 0.1567) x8
Nd (0.2500, 0.7500, 0.2500) x2
Ge (0.0482, 0.2500, 0.4560) x8

Peak list (10 most intense, 5 to 70 degrees two-theta, in order of rising 2θ)
- hkl 1 0 1, 17.64°, I = 44.6
- hkl 1 1 2, 29.00°, I = 75.1
- hkl 2 0 1, 30.82°, I = 65.0
- hkl 1 0 3, 34.14°, I = 100.0
- hkl 2 0 3, 42.79°, I = 17.3
- hkl 2 2 2, 46.66°, I = 42.0
- hkl 3 1 0, 46.69°, I = 15.4
- hkl 3 0 3, 54.79°, I = 32.9
- hkl 2 1 5, 63.11°, I = 28.0
- hkl 3 3 0, 64.19°, I = 16.7

# 5
Structure and computed PXRD pattern of LiNd4Ge4 (DFT lattice parameters and positions (GGA-PBE); λ = 1.5418 Å (Cu Kα)).

Structure:
Unit cell a=7.4382 b=15.2238 c=8.0084 alpha=90.00 beta=90.00 gamma=90.00
Space group Pnma (No. 62)
One atom of each set of equivalent atoms:
Li (0.1601, 0.2500, 0.0314) x4
Nd (0.0239, 0.6007, 0.6891) x8
Nd (0.1752, 0.6280, 0.1786) x8
Ge (0.0145, 0.2500, 0.5797) x4
Ge (0.1586, 0.0366, 0.9683) x8
Ge (0.2271, 0.7500, 0.8672) x4

Peak list (10 most intense, 5 to 70 degrees two-theta, in order of rising 2θ)
- hkl 1 1 1, 17.28°, I = 20.3
- hkl 0 4 0, 23.37°, I = 21.4
- hkl 2 1 1, 27.08°, I = 23.7
- hkl 1 3 2, 30.88°, I = 68.4
- hkl 2 3 1, 31.86°, I = 100.0
- hkl 0 4 2, 32.46°, I = 54.3
- hkl 1 4 2, 34.68°, I = 42.3
- hkl 1 1 3, 36.24°, I = 21.6
- hkl 3 0 1, 37.99°, I = 34.6
- hkl 3 4 3, 56.10°, I = 28.7

# 6
Structure and computed PXRD pattern of LiNdGeO4 (DFT lattice parameters and positions (GGA-PBE); λ = 1.5418 Å (Cu Kα)).

Structure:
Unit cell a=5.1505 b=12.0540 c=5.4492 alpha=90.00 beta=90.00 gamma=90.00
Space group Pbcn (No. 60)
One atom of each set of equivalent atoms:
Li (0.0000, 0.2334, 0.2500) x4
Nd (0.0000, 0.1127, 0.7500) x4
Ge (0.0000, 0.3895, 0.7500) x4
O (0.1764, 0.2976, 0.5470) x8
O (0.2493, 0.0427, 0.4149) x8

Peak list (10 most intense, 5 to 70 degrees two-theta, in order of rising 2θ)
- hkl 1 1 1, 24.91°, I = 100.0
- hkl 0 4 0, 29.64°, I = 24.3
- hkl 1 3 1, 32.70°, I = 90.3
- hkl 0 0 2, 32.87°, I = 19.9
- hkl 0 4 2, 44.85°, I = 24.8
- hkl 2 4 0, 46.38°, I = 23.5
- hkl 2 0 2, 48.65°, I = 26.1
- hkl 2 4 2, 58.01°, I = 17.6
- hkl 1 3 3, 58.58°, I = 18.4
- hkl 1 7 1, 59.05°, I = 19.8

# 7
Structure and computed PXRD pattern of LiNd2Ge3Pd4 (DFT lattice parameters and positions (GGA-PBE); λ = 1.5418 Å (Cu Kα)).

Structure:
Unit cell a=4.2971 b=4.2971 c=10.2961 alpha=90.00 beta=90.00 gamma=90.00
Space group P-4m2 (No. 115)
One atom of each set of equivalent atoms:
Li (0.0000, 0.0000, 0.0000) x1
Nd (0.0000, 0.5000, 0.7494) x2
Ge (0.0000, 0.5000, 0.3658) x2
Ge (0.5000, 0.5000, 0.0000) x1
Pd (0.0000, 0.0000, 0.5000) x1
Pd (0.0000, 0.5000, 0.1264) x2
Pd (0.5000, 0.5000, 0.5000) x1

Peak list (10 most intense, 5 to 70 degrees two-theta, in order of rising 2θ)
- hkl 1 1 0, 29.40°, I = 26.2
- hkl 1 0 3, 33.41°, I = 81.4
- hkl 1 1 2, 34.27°, I = 100.0
- hkl 2 0 0, 42.05°, I = 69.6
- hkl 1 1 4, 46.22°, I = 15.9
- hkl 1 0 5, 49.06°, I = 33.5
- hkl 2 1 3, 54.74°, I = 39.4
- hkl 2 2 0, 60.99°, I = 22.8
- hkl 1 1 6, 62.12°, I = 13.1
- hkl 2 1 5, 66.56°, I = 26.5

# 8
Structure and computed PXRD pattern of Li2PmNdGe2 (DFT lattice parameters and positions (GGA-PBE); λ = 1.5418 Å (Cu Kα)).

Structure:
Unit cell a=4.4914 b=4.4914 c=7.5238 alpha=90.00 beta=90.00 gamma=120.00
Space group P-3m1 (No. 164)
One atom of each set of equivalent atoms:
Li (0.3333, 0.6667, 0.2442) x2
Pm (0.0000, 0.0000, 0.0000) x1
Nd (0.0000, 0.0000, 0.5000) x1
Ge (0.3333, 0.6667, 0.7526) x2

Peak list (10 most intense, 5 to 70 degrees two-theta, in order of rising 2θ)
- hkl 1 0 0, 22.86°, I = 41.0
- hkl 1 0 1, 25.78°, I = 20.6
- hkl 1 0 2, 33.13°, I = 100.0
- hkl 1 1 0, 40.15°, I = 43.7
- hkl 2 0 0, 46.71°, I = 6.2
- hkl 0 0 4, 48.38°, I = 12.1
- hkl 0 2 2, 53.00°, I = 26.3
- hkl 0 1 4, 54.16°, I = 8.0
- hkl 1 1 4, 64.63°, I = 24.2
- hkl 2 1 2, 68.53°, I = 24.1

# 9
Structure and computed PXRD pattern of Li2NdThGe2 (DFT lattice parameters and positions (GGA-PBE); λ = 1.5418 Å (Cu Kα)).

Structure:
Unit cell a=4.5089 b=4.5089 c=7.4443 alpha=90.00 beta=90.00 gamma=120.00
Space group P-3m1 (No. 164)
One atom of each set of equivalent atoms:
Li (0.3333, 0.6667, 0.2635) x2
Nd (0.0000, 0.0000, 0.5000) x1
Th (0.0000, 0.0000, 0.0000) x1
Ge (0.3333, 0.6667, 0.7564) x2

Peak list (10 most intense, 5 to 70 degrees two-theta, in order of rising 2θ)
- hkl 1 0 0, 22.77°, I = 52.5
- hkl 1 0 1, 25.76°, I = 19.6
- hkl 1 0 2, 33.25°, I = 100.0
- hkl 1 1 0, 39.99°, I = 42.2
- hkl 2 0 0, 46.51°, I = 8.2
- hkl 1 1 2, 47.13°, I = 8.3
- hkl 0 2 2, 52.96°, I = 27.1
- hkl 0 1 4, 54.63°, I = 10.5
- hkl 1 1 4, 64.98°, I = 20.1
- hkl 2 1 2, 68.38°, I = 25.2

# 10
Structure and computed PXRD pattern of Li2Ni3Ge5 (DFT lattice parameters and positions (GGA-PBE); λ = 1.5418 Å (Cu Kα)).

Structure:
Unit cell a=3.9314 b=23.1359 c=6.5756 alpha=90.00 beta=90.00 gamma=90.00
Space group Cmc2_1 (No. 36)
One atom of each set of equivalent atoms:
Li (0.0000, 0.0220, 0.0000) x4
Li (0.0000, 0.3272, 0.9558) x4
Ni (0.0000, 0.1059, 0.2536) x4
Ni (0.0000, 0.2782, 0.4712) x4
Ni (0.0000, 0.4491, 0.2174) x4
Ge (0.0000, 0.0983, 0.6203) x4
Ge (0.0000, 0.2066, 0.1836) x4
Ge (0.0000, 0.2067, 0.7538) x4
Ge (0.0000, 0.3848, 0.5127) x4
Ge (0.0000, 0.4536, 0.8442) x4

Peak list (10 most intense, 5 to 70 degrees two-theta, in order of rising 2θ)
- hkl 0 4 1, 20.45°, I = 63.4
- hkl 0 6 0, 23.07°, I = 46.3
- hkl 1 3 0, 25.43°, I = 54.1
- hkl 1 1 1, 26.70°, I = 34.0
- hkl 1 3 2, 37.52°, I = 100.0
- hkl 1 7 1, 38.11°, I = 66.7
- hkl 1 9 0, 41.98°, I = 40.9
- hkl 2 0 0, 46.18°, I = 71.6
- hkl 1 3 3, 49.03°, I = 44.0
- hkl 1 9 2, 50.71°, I = 79.0

# 11
Structure and computed PXRD pattern of LiNi2Ge2 (DFT lattice parameters and positions (GGA-PBE); λ = 1.5418 Å (Cu Kα)).

Structure:
Unit cell a=5.0715 b=3.9794 c=6.6922 alpha=90.00 beta=90.00 gamma=90.00
Space group Pmma (No. 51)
One atom of each set of equivalent atoms:
Li (0.0000, 0.0000, 0.0000) x2
Ni (0.0000, 0.5000, 0.5000) x2
Ni (0.2500, 0.5000, 0.1640) x2
Ge (0.2500, 0.0000, 0.3753) x2
Ge (0.2500, 0.5000, 0.8093) x2

Peak list (10 most intense, 5 to 70 degrees two-theta, in order of rising 2θ)
- hkl 0 0 1, 13.23°, I = 41.9
- hkl 0 1 0, 22.34°, I = 73.9
- hkl 1 1 1, 31.55°, I = 34.8
- hkl 2 0 0, 35.40°, I = 30.0
- hkl 1 1 2, 39.42°, I = 28.0
- hkl 2 1 1, 44.48°, I = 100.0
- hkl 2 0 2, 44.85°, I = 34.8
- hkl 0 2 0, 45.59°, I = 55.8
- hkl 0 1 3, 46.68°, I = 83.2
- hkl 2 1 2, 50.66°, I = 42.0

# 12
Structure and computed PXRD pattern of LiNi5Ge4 (DFT lattice parameters and positions (GGA-PBE); λ = 1.5418 Å (Cu Kα)).

Structure:
Unit cell a=7.3873 b=7.9425 c=4.7677 alpha=90.00 beta=90.00 gamma=90.00
Space group Pmmn (No. 59, origin choice 2)
One atom of each set of equivalent atoms:
Li (0.2500, 0.2500, 0.0045) x2
Ni (0.0501, 0.5188, 0.7513) x8
Ni (0.2500, 0.7500, 0.5638) x2
Ge (0.0678, 0.2500, 0.5222) x4
Ge (0.2500, 0.5811, 0.1337) x4

Peak list (10 most intense, 5 to 70 degrees two-theta, in order of rising 2θ)
- hkl 1 1 0, 16.39°, I = 39.9
- hkl 0 2 1, 29.27°, I = 100.0
- hkl 3 1 0, 38.27°, I = 46.2
- hkl 3 0 1, 41.26°, I = 58.6
- hkl 0 2 2, 44.32°, I = 97.8
- hkl 0 4 0, 45.69°, I = 31.6
- hkl 2 3 1, 46.29°, I = 41.5
- hkl 3 2 1, 47.44°, I = 54.8
- hkl 2 2 2, 51.07°, I = 35.1
- hkl 3 3 1, 54.40°, I = 47.9